Starting from a GGA-PBE-relaxed structure, the powder X-ray diffraction pattern of ZnSn3P3O13 was simulated for Cu Ka.
Peak positions follow from Bragg's law for the DFT cell and can differ from measured ones.

a b c (Å): 8.255 6.600 11.072
angles (deg): 90.00 94.65 90.00
Fractional coordinates of all 40 atoms:
Zn1 0.089 0.250 0.129
Zn2 0.911 0.750 0.871
Sn1 0.155 0.250 0.777
Sn2 0.286 0.750 0.445
Sn3 0.500 0.000 0.000
Sn4 0.500 0.500 0.000
Sn5 0.714 0.250 0.555
Sn6 0.845 0.750 0.223
P1 0.153 0.750 0.124
P2 0.225 0.750 0.763
P3 0.289 0.250 0.498
P4 0.711 0.750 0.502
P5 0.775 0.250 0.237
P6 0.847 0.250 0.876
O1 0.019 0.250 0.952
O2 0.099 0.750 0.258
O3 0.103 0.570 0.784
O4 0.103 0.930 0.784
O5 0.159 0.250 0.593
O6 0.241 0.546 0.104
O7 0.241 0.954 0.104
O8 0.258 0.067 0.410
O9 0.258 0.433 0.410
O10 0.288 0.750 0.637
O11 0.364 0.250 0.874
O12 0.370 0.750 0.859
O13 0.459 0.250 0.567
O14 0.541 0.750 0.433
O15 0.630 0.250 0.141
O16 0.636 0.750 0.126
O17 0.712 0.250 0.363
O18 0.742 0.567 0.590
O19 0.742 0.933 0.590
O20 0.759 0.046 0.896
O21 0.759 0.454 0.896
O22 0.841 0.750 0.407
O23 0.897 0.070 0.216
O24 0.897 0.430 0.216
O25 0.901 0.250 0.742
O26 0.981 0.750 0.048

Most intense lines, 2θ from 5° to 70°, in order of falling intensity:
Position (°2θ)  d [Å]  I/Imax  (hkl)
18.6  4.764  100  1 0 -2
27.3  3.261  79  1 0 3
30.5  2.928  56  1 2 1
23.7  3.757  56  2 0 1
27.0  3.300  41  0 2 0
45.0  2.013  38  3 2 -2
36.6  2.456  37  0 2 3
29.1  3.064  37  1 2 0
31.3  2.860  33  2 0 -3
20.1  4.420  30  1 0 2